For Na3TlH24Cl6O12, a DFT-relaxed cell (PBE, the Materials Project) gives the computed X-ray powder pattern in this record (a wavelength of 1.5418 Å).
Intensities are scaled so that the largest is 100.

The 10 most intense peaks (10° ≤ 2θ ≤ 90°), sorted by position:
(0 0 1), 10.78°, I = 100; (0 1 0), 10.90°, I = 54; (0 1 1), 13.22°, I = 49; (1 1 0), 13.56°, I = 94; (1 1 1), 13.81°, I = 40; (1 0 -1), 16.80°, I = 35; (1 -1 0), 16.96°, I = 40; (0 1 -1), 17.24°, I = 33; (2 0 1), 22.07°, I = 42; (2 0 2), 27.33°, I = 34

Cell and atoms:
```
data_Na3TlH24Cl6O12
_symmetry_space_group_name_H-M 'P 1'
_symmetry_Int_Tables_number 1
_symmetry_space_group_name_Hall 'P 1'
_cell_length_a 8.7747
_cell_length_b 8.7781
_cell_length_c 8.8509
_cell_angle_alpha 71.40
_cell_angle_beta 73.61
_cell_angle_gamma 73.16
loop_
_atom_site_label
_atom_site_type_symbol
_atom_site_fract_x
_atom_site_fract_y
_atom_site_fract_z
Na1 Na 0.0000 0.0000 0.0000
Na2 Na 0.1462 0.1620 0.1933
Na3 Na 0.3129 0.3516 0.3717
Tl1 Tl 0.6632 0.6611 0.6589
H1 H 0.0106 0.2385 0.5096
H2 H 0.0192 0.5091 0.2187
H3 H 0.0298 0.8102 0.7544
H4 H 0.0853 0.5764 0.5830
H5 H 0.0900 0.3030 0.8584
H6 H 0.1221 0.0655 0.5645
H7 H 0.1338 0.7903 0.3039
H8 H 0.1646 0.5151 0.0667
H9 H 0.2054 0.8098 0.7598
H10 H 0.2566 0.6171 0.5299
H11 H 0.2582 0.1852 0.8151
H12 H 0.2727 0.8086 0.1519
H13 H 0.4783 0.2265 0.0709
H14 H 0.4858 0.3181 0.6604
H15 H 0.4884 0.0695 0.2208
H16 H 0.5035 0.6197 0.3179
H17 H 0.5951 0.0767 0.5610
H18 H 0.6098 0.6062 0.0430
H19 H 0.7538 0.0737 0.8213
H20 H 0.7604 0.1600 0.8122
H21 H 0.7814 0.8160 0.1615
H22 H 0.7819 0.8110 0.0779
H23 H 0.7843 0.2908 0.1607
H24 H 0.8118 0.1202 0.2879
Cl1 Cl 0.4515 0.8008 0.4635
Cl2 Cl 0.4639 0.4594 0.8316
Cl3 Cl 0.5101 0.8336 0.8703
Cl4 Cl 0.8139 0.4629 0.4764
Cl5 Cl 0.8249 0.8961 0.5012
Cl6 Cl 0.9098 0.5370 0.8218
O1 O 0.0926 0.8720 0.7789
O2 O 0.1165 0.1670 0.4760
O3 O 0.1277 0.4495 0.1763
O4 O 0.1571 0.1933 0.8989
O5 O 0.1630 0.8653 0.1955
O6 O 0.1782 0.5885 0.4895
O7 O 0.4181 0.1737 0.1773
O8 O 0.4241 0.2539 0.6348
O9 O 0.4743 0.5610 0.2545
O10 O 0.5372 0.1856 0.5037
O11 O 0.6292 0.5182 0.1436
O12 O 0.8576 0.1812 0.1778
```


For Na2ZnH3Cl4, a DFT-relaxed cell (PBE, the Materials Project) gives the computed X-ray powder pattern in this record (a wavelength of 1.5418 Å).
Intensities are scaled so that the largest is 100.

The 10 most intense peaks (10° ≤ 2θ ≤ 90°), sorted by position:
(0 0 1), 13.97°, I = 100; (1 0 0), 14.51°, I = 78; (1 1 0), 25.28°, I = 46; (0 0 2), 28.15°, I = 16; (1 1 1), 28.99°, I = 63; (1 1 2), 38.19°, I = 34; (3 0 0), 44.54°, I = 31; (3 0 1), 46.91°, I = 24; (1 1 3), 50.35°, I = 30; (3 0 2), 53.53°, I = 12

Cell and atoms:
```
data_Na2ZnH3Cl4
_symmetry_space_group_name_H-M 'P 3 1 m'
_symmetry_Int_Tables_number 157
_symmetry_space_group_name_Hall 'P 3 -2'
_cell_length_a 7.0468
_cell_length_b 7.0468
_cell_length_c 6.3392
_cell_angle_alpha 90.00
_cell_angle_beta 90.00
_cell_angle_gamma 120.00
loop_
_atom_site_label
_atom_site_type_symbol
_atom_site_fract_x
_atom_site_fract_y
_atom_site_fract_z
Na1 Na 0.3333 0.6667 0.0000
Zn1 Zn 0.0000 0.0000 0.9662
H1 H 0.0000 0.5002 0.3454
Cl1 Cl 0.0000 0.0000 0.3159
Cl2 Cl 0.0000 0.3084 0.8356
```


For NdH12Cl3O6, a DFT-relaxed cell (PBE, the Materials Project) gives the computed X-ray powder pattern in this record (a wavelength of 1.5418 Å).
Intensities are scaled so that the largest is 100.

The 10 most intense peaks (10° ≤ 2θ ≤ 90°), sorted by position:
(1 0 0), 13.80°, I = 100; (1 0 -2), 14.64°, I = 97; (0 1 1), 16.10°, I = 73; (1 1 -1), 17.27°, I = 70; (0 0 2), 18.13°, I = 54; (2 0 -2), 22.03°, I = 70; (1 1 1), 24.65°, I = 90; (1 1 -3), 25.62°, I = 81; (0 0 4), 36.71°, I = 48; (0 2 3), 38.64°, I = 56

Cell and atoms:
```
data_NdH12Cl3O6
_symmetry_space_group_name_H-M 'P 1 2/c 1'
_symmetry_Int_Tables_number 13
_symmetry_space_group_name_Hall '-P 2yc'
_cell_length_a 8.0840
_cell_length_b 6.6588
_cell_length_c 12.3282
_cell_angle_alpha 90.00
_cell_angle_beta 127.46
_cell_angle_gamma 90.00
loop_
_atom_site_label
_atom_site_type_symbol
_atom_site_fract_x
_atom_site_fract_y
_atom_site_fract_z
Nd1 Nd 0.0000 0.1452 0.2500
H1 H 0.0264 0.4505 0.8847
H2 H 0.2008 0.4719 0.1829
H3 H 0.2452 0.0903 0.1341
H4 H 0.3282 0.0878 0.7387
H5 H 0.3741 0.3300 0.5323
H6 H 0.4672 0.2523 0.4595
Cl1 Cl 0.2039 0.1739 0.9486
Cl2 Cl 0.5000 0.3608 0.7500
O1 O 0.0596 0.4258 0.1460
O2 O 0.2628 0.0460 0.2173
O3 O 0.3359 0.2965 0.4415
```


For NiH6Cl2, a DFT-relaxed cell (PBE, the Materials Project) gives the computed X-ray powder pattern in this record (a wavelength of 1.5418 Å).
Intensities are scaled so that the largest is 100.

The 10 most intense peaks (10° ≤ 2θ ≤ 90°), sorted by position:
(0 0 1), 16.96°, I = 74; (1 1 0), 18.36°, I = 82; (1 1 1), 26.72°, I = 100; (0 2 0), 28.08°, I = 53; (0 2 1), 32.99°, I = 27; (3 1 -1), 39.53°, I = 26; (1 1 2), 41.38°, I = 20; (3 1 -2), 47.30°, I = 19; (1 3 1), 48.89°, I = 24; (2 2 2), 55.05°, I = 10

Cell and atoms:
```
data_NiH6Cl2
_symmetry_space_group_name_H-M 'C 1 2/m 1'
_symmetry_Int_Tables_number 12
_symmetry_space_group_name_Hall '-C 2y'
_cell_length_a 7.6036
_cell_length_b 6.3544
_cell_length_c 5.3405
_cell_angle_alpha 90.00
_cell_angle_beta 101.73
_cell_angle_gamma 90.00
loop_
_atom_site_label
_atom_site_type_symbol
_atom_site_fract_x
_atom_site_fract_y
_atom_site_fract_z
Ni1 Ni 0.0000 0.0000 0.0000
H1 H 0.0477 0.5000 0.4921
H2 H 0.1267 0.0651 0.2691
Cl1 Cl 0.2295 0.0000 0.8212
```